Record 1
The following is a simulated powder X-ray diffraction pattern of BaLiThS4. It was derived from a structure optimized by DFT (GGA-PBE), using Cu Kα, 1.54184 Å.

abc: 8.5301 8.5301 7.0943
angles: 90.00 90.00 140.70
Sites, in units of the cell vectors:
Ba  0.1043  0.8957  0.7500
Ba  0.8957  0.1043  0.2500
Li  0.2347  0.7653  0.2500
Li  0.7653  0.2347  0.7500
Th  0.3758  0.6242  0.7500
Th  0.6242  0.3758  0.2500
S  0.0000  0.5000  0.0000
S  0.0000  0.5000  0.5000
S  0.0867  0.9133  0.2500
S  0.4558  0.5442  0.2500
S  0.5000  0.0000  0.0000
S  0.5000  0.0000  0.5000
S  0.5442  0.4558  0.7500
S  0.9133  0.0867  0.7500

Main lines, in order of rising 2θ (2θ = 10–90°):
2θ/deg	intensity
20.66	100.0
22.13	36.2
25.11	49.5
26.00	71.6
31.18	28.6
33.71	58.6
34.40	33.7
38.57	40.3
40.44	52.3
44.39	31.0



Record 2
The following is a simulated powder X-ray diffraction pattern of Tl2WCl. It was derived from a structure optimized by DFT (GGA-PBE), using Cu Kα, 1.54184 Å.

abc: 8.1594 8.1594 8.1594
angles: 158.49 145.66 40.88
Sites, in units of the cell vectors:
Tl  0.0000  0.0000  0.0000
Tl  0.6593  0.1593  0.5000
W  0.1939  0.6939  0.5000
Cl  0.3169  0.3169  0.0000

Main lines, in order of rising 2θ (2θ = 10–90°):
2θ/deg	intensity
11.57	100.0
19.32	17.9
23.27	26.4
25.44	41.4
34.75	20.8
35.21	26.5
36.84	91.5
37.34	31.7
42.33	52.3
67.02	21.8



Record 3
The following is a simulated powder X-ray diffraction pattern of K4Zr3PaO12. It was derived from a structure optimized by DFT (GGA-PBE), using Cu Kα, 1.54184 Å.

abc: 7.3988 7.3988 7.3988
angles: 109.47 109.47 109.47
Sites, in units of the cell vectors:
K  0.0000  0.0000  0.5000
K  0.0000  0.5000  0.0000
K  0.5000  0.0000  0.0000
K  0.5000  0.5000  0.5000
Zr  0.0000  0.5000  0.5000
Zr  0.5000  0.0000  0.5000
Zr  0.5000  0.5000  0.0000
Pa  0.0000  0.0000  0.0000
O  0.0000  0.2532  0.2532
O  0.0000  0.7468  0.7468
O  0.2500  0.5000  0.7500
O  0.2500  0.7500  0.5000
O  0.2532  0.0000  0.2532
O  0.2532  0.2532  0.0000
O  0.5000  0.2500  0.7500
O  0.5000  0.7500  0.2500
O  0.7468  0.0000  0.7468
O  0.7468  0.7468  0.0000
O  0.7500  0.2500  0.5000
O  0.7500  0.5000  0.2500

Main lines, in order of rising 2θ (2θ = 10–90°):
2θ/deg	intensity
14.66	22.5
20.79	55.4
25.54	13.0
29.57	100.0
42.32	37.6
47.60	25.0
52.47	39.8
61.39	22.5
69.60	17.0
84.95	20.1



Record 4
The following is a simulated powder X-ray diffraction pattern of KV3Se3. It was derived from a structure optimized by DFT (GGA-PBE), using Cu Kα, 1.54184 Å.

abc: 9.1795 9.1795 4.3599
angles: 90.00 90.00 120.00
Sites, in units of the cell vectors:
K  0.3333  0.6667  0.2500
K  0.6667  0.3333  0.7500
V  0.0326  0.8520  0.2500
V  0.1480  0.1806  0.2500
V  0.1806  0.0326  0.7500
V  0.8194  0.9674  0.2500
V  0.8520  0.8194  0.7500
V  0.9674  0.1480  0.7500
Se  0.0615  0.7145  0.7500
Se  0.2855  0.3470  0.7500
Se  0.3470  0.0615  0.2500
Se  0.6530  0.9385  0.7500
Se  0.7145  0.6530  0.2500
Se  0.9385  0.2855  0.2500

Main lines, in order of rising 2θ (2θ = 10–90°):
2θ/deg	intensity
11.13	100.0
28.23	51.0
29.73	28.1
30.43	21.4
40.93	19.4
41.42	26.7
44.62	40.0
46.13	41.9
54.53	29.0
89.08	18.4



Record 5
The following is a simulated powder X-ray diffraction pattern of NaInBr. It was derived from a structure optimized by DFT (GGA-PBE), using Cu Kα, 1.54184 Å.

abc: 3.7817 3.7817 6.5518
angles: 90.00 90.18 90.00
Sites, in units of the cell vectors:
Na  0.0000  0.0000  0.0000
In  0.4959  0.5000  0.6295
Br  0.5003  0.5000  0.1701

Main lines, in order of rising 2θ (2θ = 10–90°):
2θ/deg	intensity
23.53	100.0
27.22	60.4
33.51	65.9
36.26	65.2
36.34	21.0
43.70	43.7
48.12	27.7
54.23	22.1
56.14	21.1
61.68	29.9



Record 6
The following is a simulated powder X-ray diffraction pattern of NaSnGeCl5. It was derived from a structure optimized by DFT (GGA-PBE), using Cu Kα, 1.54184 Å.

abc: 7.7325 7.7325 9.0220
angles: 104.04 104.04 99.77
Sites, in units of the cell vectors:
Na  0.0000  0.5000  0.0000
Na  0.5000  0.0000  0.5000
Sn  0.0292  0.9708  0.7500
Sn  0.9708  0.0292  0.2500
Ge  0.4805  0.5195  0.7500
Ge  0.5195  0.4805  0.2500
Cl  0.1833  0.8167  0.2500
Cl  0.1858  0.2140  0.0824
Cl  0.2140  0.1858  0.5824
Cl  0.3263  0.6369  0.9280
Cl  0.3631  0.6737  0.5720
Cl  0.6369  0.3263  0.4280
Cl  0.6737  0.3631  0.0720
Cl  0.7860  0.8142  0.4176
Cl  0.8142  0.7860  0.9176
Cl  0.8167  0.1833  0.7500

Main lines, in order of rising 2θ (2θ = 10–90°):
2θ/deg	intensity
14.98	100.0
19.23	84.3
22.70	42.3
24.51	34.3
26.11	44.3
30.19	37.4
33.93	35.3
37.27	39.2
39.85	45.9
46.06	37.0